Starting from a cell relaxed with PBE+U, the PXRD pattern of SrCoBiRuO6 was calculated for a wavelength of 1.5418 Å.
Peak positions follow from Bragg's law for the DFT cell and can differ from measured ones.

Most intense lines, 2θ from 10° to 90°, in order of rising 2θ:
| (hkl) | 2θ/deg | I (rel.) |
| --- | --- | --- |
| 0 1 1 | 18.99 | 18 |
| 1 0 -2 | 19.49 | 13 |
| 1 1 0 | 24.93 | 13 |
| 0 2 0 | 31.06 | 21 |
| 1 1 1 | 31.67 | 100 |
| 2 0 -2 | 32.32 | 26 |
| 0 0 4 | 45.41 | 36 |
| 3 1 -5 | 57.23 | 22 |

Cell and atoms:
a = 5.540 Å, b = 5.759 Å, c = 9.720 Å
α = 90.00°, β = 124.65°, γ = 90.00°
Sites, in units of the cell vectors:
Sr  0.000  0.208  0.000
Sr  0.000  0.792  0.500
Co  0.741  0.243  0.251
Co  0.741  0.757  0.751
Bi  0.515  0.316  0.523
Bi  0.515  0.684  0.023
Ru  0.236  0.243  0.746
Ru  0.236  0.757  0.246
O  0.084  0.035  0.289
O  0.084  0.965  0.789
O  0.400  0.481  0.202
O  0.400  0.519  0.702
O  0.493  0.054  0.708
O  0.493  0.946  0.208
O  0.540  0.285  0.990
O  0.540  0.715  0.490
O  0.903  0.228  0.502
O  0.903  0.772  0.002
O  0.953  0.442  0.764
O  0.953  0.558  0.264